# 1
BePd3: calculated powder diffractogram (copper Kα), based on DFT lattice parameters and positions (GGA-PBE).

Structure:
Cell: 5.0793 5.0793 7.6947 Å, 90.00 90.00 147.14°
Fractional positions:
Be: 0.2471 0.7529 0.7500
Be: 0.7529 0.2471 0.2500
Pd: 0.0673 0.9327 0.2500
Pd: 0.3636 0.6364 0.0611
Pd: 0.3636 0.6364 0.4389
Pd: 0.6364 0.3636 0.5611
Pd: 0.6364 0.3636 0.9389
Pd: 0.9327 0.0673 0.7500

Peak list (10 most intense, 5° ≤ 2θ ≤ 70°, low angle first)
29.59 deg, intensity 22
34.57 deg, intensity 38
36.90 deg, intensity 37
38.77 deg, intensity 24
39.71 deg, intensity 99
40.25 deg, intensity 100
41.98 deg, intensity 50
43.67 deg, intensity 46
48.48 deg, intensity 32
68.76 deg, intensity 35


# 2
SmY15O24: calculated powder diffractogram (copper Kα), based on DFT lattice parameters and positions (GGA-PBE).

Structure:
Cell: 9.2856 9.2856 10.7265 Å, 125.20 125.20 70.59°
Fractional positions:
Sm: 0.0000 0.0000 0.0000
Y: 0.0323 0.4663 0.7488
Y: 0.0323 0.4690 0.2507
Y: 0.0651 0.9349 0.5000
Y: 0.2498 0.6838 0.7162
Y: 0.2833 0.2181 0.4684
Y: 0.2825 0.2183 0.9668
Y: 0.3162 0.7502 0.2838
Y: 0.4991 0.5009 0.0000
Y: 0.5310 0.9677 0.7493
Y: 0.5337 0.9677 0.2512
Y: 0.5653 0.4347 0.5000
Y: 0.7483 0.1851 0.2173
Y: 0.7817 0.7175 0.0332
Y: 0.7819 0.7167 0.5316
Y: 0.8149 0.2517 0.7827
O: 0.0009 0.2428 0.2650
O: 0.0214 0.1967 0.7071
O: 0.0432 0.7337 0.7882
O: 0.0640 0.6965 0.2393
O: 0.0748 0.2334 0.0225
O: 0.2603 0.5000 0.0206
O: 0.2663 0.9568 0.2118
O: 0.2722 0.4245 0.7185
O: 0.2930 0.0103 0.5220
O: 0.3032 0.4785 0.4887
O: 0.3035 0.9360 0.7607
O: 0.4891 0.2064 0.2178
O: 0.5000 0.7397 0.9794
O: 0.5215 0.6968 0.5113
O: 0.5430 0.2387 0.9888
O: 0.5646 0.1969 0.5211
O: 0.5755 0.7278 0.2815
O: 0.7572 0.9991 0.7350
O: 0.7613 0.4570 0.0112
O: 0.7665 0.9252 0.9775
O: 0.7936 0.5109 0.7822
O: 0.8031 0.4354 0.4789
O: 0.8033 0.9786 0.2929
O: 0.9897 0.7070 0.4780

Peak list (10 most intense, 5° ≤ 2θ ≤ 70°, low angle first)
20.28 deg, intensity 13
28.83 deg, intensity 100
33.41 deg, intensity 26
35.49 deg, intensity 6
42.99 deg, intensity 9
47.95 deg, intensity 36
48.02 deg, intensity 7
52.58 deg, intensity 6
56.93 deg, intensity 29
58.33 deg, intensity 6


# 3
HoSnPd2: calculated powder diffractogram (copper Kα), based on DFT lattice parameters and positions (GGA-PBE).

Structure:
Cell: 4.7968 4.7968 4.7968 Å, 60.00 60.00 60.00°
Fractional positions:
Ho: 0.0000 0.0000 0.0000
Sn: 0.5000 0.5000 0.5000
Pd: 0.2500 0.2500 0.2500
Pd: 0.7500 0.7500 0.7500

Peak list (8 most intense, 5° ≤ 2θ ≤ 70°, low angle first)
22.70 deg, intensity 2
26.27 deg, intensity 2
37.50 deg, intensity 100
44.29 deg, intensity 1
46.37 deg, intensity 1
54.08 deg, intensity 17
61.09 deg, intensity 1
67.66 deg, intensity 35